# KMgNi2H3Se2O10
Simulated PXRD pattern, Cu Kα (λ = 1.5418 Å). Input: a GGA+U-relaxed structure.
Kinematic intensities with the Lorentz-polarization factor, no thermal factor.

```
19
Lattice="5.5767 0.0000 0.0000 -2.0505 5.8023 0.0000 -1.2106 -1.9709 8.0000" Properties=species:S:1:pos:R:3 pbc="T T T"
K 0.0000 0.0000 0.0000
Mg 2.4003 2.3199 1.2012
Ni -0.6557 4.3972 5.5647
Ni 2.6902 2.3046 4.9208
H -2.5530 4.8088 3.9561
H 2.1798 -0.0648 7.1116
H 3.3571 -0.1250 4.9715
Se -0.6066 2.8030 2.4698
Se -0.0716 1.6184 6.6238
O -1.3645 3.3850 1.0912
O -2.5702 4.4108 4.8436
O -1.4702 2.6197 6.3324
O 0.6421 1.7247 2.1085
O -0.0535 3.9904 3.4708
O 1.4817 3.8617 0.2789
O 1.5857 -0.7100 7.5687
O 1.0082 2.7678 5.8811
O 2.5110 0.2959 5.2437
O 3.6499 1.8862 3.0815
```

Main lines, most intense first (2θ = 10–90°):
h k l  2theta  I_rel
0 1 0  15.7  100
-1 1 2  29.1  67
0 0 1  11.1  54
1 1 -2  30.3  46
1 -1 1  21.7  46
2 0 -1  34.3  42
1 1 1  32.5  36
1 -2 1  30.7  36
1 0 2  31.2  34
0 1 -1  16.9  33